# 1
Structure and theoretical powder X-ray diffraction pattern of Ba6As2Pt (a DFT-relaxed cell (PBE, Alexandria); CuKα).
Peak positions follow from Bragg's law for the DFT cell and can differ from measured ones.

Structure:
a b c (Å): 10.676 10.676 9.623
angles (deg): 103.45 103.45 25.65
Positions (direct):
Ba: 0.006 0.006 0.230
Ba: 0.328 0.328 0.429
Ba: 0.344 0.344 0.900
Ba: 0.656 0.656 0.100
Ba: 0.672 0.672 0.571
Ba: 0.994 0.994 0.770
As: 0.167 0.167 0.337
As: 0.833 0.833 0.663
Pt: 0.500 0.500 0.000

Largest 8 diffraction maxima, in order of rising 2θ, 10° ≤ 2θ ≤ 90°:
- 7.860 Å, 2θ = 11.3°, intensity 48
- 3.877 Å, 2θ = 22.9°, intensity 15
- 3.374 Å, 2θ = 26.4°, intensity 100
- 2.609 Å, 2θ = 34.4°, intensity 13
- 2.392 Å, 2θ = 37.6°, intensity 22
- 2.379 Å, 2θ = 37.8°, intensity 27
- 2.370 Å, 2θ = 38.0°, intensity 13
- 1.938 Å, 2θ = 46.9°, intensity 14

# 2
Structure and theoretical powder X-ray diffraction pattern of Rb5Te2S5 (a DFT-relaxed cell (PBE, Alexandria); CuKα).
Peak positions follow from Bragg's law for the DFT cell and can differ from measured ones.

Structure:
a b c (Å): 5.948 5.948 14.258
angles (deg): 102.62 102.62 50.94
Positions (direct):
Rb: 0.000 0.000 0.000
Rb: 0.184 0.184 0.565
Rb: 0.280 0.280 0.847
Rb: 0.720 0.720 0.153
Rb: 0.816 0.816 0.435
Te: 0.462 0.462 0.290
Te: 0.538 0.538 0.710
S: 0.050 0.050 0.297
S: 0.387 0.387 0.106
S: 0.500 0.500 0.500
S: 0.613 0.613 0.894
S: 0.950 0.950 0.703

Largest 8 diffraction maxima, in order of rising 2θ, 10° ≤ 2θ ≤ 90°:
- 4.029 Å, 2θ = 22.1°, intensity 17
- 3.962 Å, 2θ = 22.4°, intensity 19
- 3.651 Å, 2θ = 24.4°, intensity 26
- 3.099 Å, 2θ = 28.8°, intensity 40
- 2.933 Å, 2θ = 30.5°, intensity 100
- 2.916 Å, 2θ = 30.7°, intensity 23
- 2.558 Å, 2θ = 35.1°, intensity 41
- 1.974 Å, 2θ = 46.0°, intensity 29

# 3
Structure and theoretical powder X-ray diffraction pattern of Cs2ZrGaI6 (a DFT-relaxed cell (PBE, Alexandria); CuKα).
Peak positions follow from Bragg's law for the DFT cell and can differ from measured ones.

Structure:
a b c (Å): 15.521 15.521 15.521
angles (deg): 32.20 32.20 32.20
Positions (direct):
Cs: 0.123 0.123 0.123
Cs: 0.300 0.300 0.300
Cs: 0.700 0.700 0.700
Cs: 0.877 0.877 0.877
Zr: 0.000 0.000 0.000
Zr: 0.500 0.500 0.500
Ga: 0.421 0.421 0.421
Ga: 0.579 0.579 0.579
I: 0.129 0.631 0.631
I: 0.198 0.198 0.720
I: 0.198 0.720 0.198
I: 0.280 0.802 0.802
I: 0.369 0.369 0.871
I: 0.369 0.871 0.369
I: 0.631 0.129 0.631
I: 0.631 0.631 0.129
I: 0.720 0.198 0.198
I: 0.802 0.280 0.802
I: 0.802 0.802 0.280
I: 0.871 0.369 0.369

Largest 8 diffraction maxima, in order of rising 2θ, 10° ≤ 2θ ≤ 90°:
- 7.062 Å, 2θ = 12.5°, intensity 19
- 3.676 Å, 2θ = 24.2°, intensity 50
- 3.434 Å, 2θ = 25.9°, intensity 80
- 3.208 Å, 2θ = 27.8°, intensity 100
- 2.847 Å, 2θ = 31.4°, intensity 21
- 2.152 Å, 2θ = 42.0°, intensity 52
- 2.130 Å, 2θ = 42.4°, intensity 19
- 1.857 Å, 2θ = 49.1°, intensity 31

# 4
Structure and theoretical powder X-ray diffraction pattern of Al3Bi5Br12 (a DFT-relaxed cell (PBE, Alexandria); CuKα).
Peak positions follow from Bragg's law for the DFT cell and can differ from measured ones.

Structure:
a b c (Å): 12.852 12.852 12.852
angles (deg): 58.70 58.70 58.70
Positions (direct):
Al: 0.235 0.750 0.265
Al: 0.250 0.735 0.765
Al: 0.265 0.235 0.750
Al: 0.735 0.765 0.250
Al: 0.750 0.265 0.235
Al: 0.765 0.250 0.735
Bi: 0.100 0.400 0.250
Bi: 0.173 0.173 0.173
Bi: 0.250 0.100 0.400
Bi: 0.327 0.327 0.327
Bi: 0.400 0.250 0.100
Bi: 0.600 0.750 0.900
Bi: 0.673 0.673 0.673
Bi: 0.750 0.900 0.600
Bi: 0.827 0.827 0.827
Bi: 0.900 0.600 0.750
Br: 0.051 0.930 0.307
Br: 0.070 0.693 0.949
Br: 0.091 0.276 0.706
Br: 0.193 0.570 0.449
Br: 0.206 0.776 0.591
Br: 0.224 0.409 0.794
Br: 0.276 0.706 0.091
Br: 0.294 0.909 0.724
Br: 0.307 0.051 0.930
Br: 0.409 0.794 0.224
Br: 0.430 0.551 0.807
Br: 0.449 0.193 0.570
Br: 0.551 0.807 0.430
Br: 0.570 0.449 0.193
Br: 0.591 0.206 0.776
Br: 0.693 0.949 0.070
Br: 0.706 0.091 0.276
Br: 0.724 0.294 0.909
Br: 0.776 0.591 0.206
Br: 0.794 0.224 0.409
Br: 0.807 0.430 0.551
Br: 0.909 0.724 0.294
Br: 0.930 0.307 0.051
Br: 0.949 0.070 0.693

Largest 8 diffraction maxima, in order of rising 2θ, 10° ≤ 2θ ≤ 90°:
- 6.299 Å, 2θ = 14.1°, intensity 41
- 5.160 Å, 2θ = 17.2°, intensity 61
- 3.053 Å, 2θ = 29.3°, intensity 80
- 3.013 Å, 2θ = 29.7°, intensity 100
- 2.998 Å, 2θ = 29.8°, intensity 99
- 2.707 Å, 2θ = 33.1°, intensity 54
- 2.118 Å, 2θ = 42.7°, intensity 33
- 1.748 Å, 2θ = 52.3°, intensity 31

# 5
Structure and theoretical powder X-ray diffraction pattern of AcHoSO2 (a DFT-relaxed cell (PBE, Alexandria); CuKα).
Peak positions follow from Bragg's law for the DFT cell and can differ from measured ones.

Structure:
a b c (Å): 4.154 4.154 6.232
angles (deg): 90.00 90.00 90.00
Positions (direct):
Ac: 0.000 0.000 0.000
Ho: 0.500 0.500 0.359
S: 0.500 0.500 0.787
O: 0.000 0.500 0.233
O: 0.500 0.000 0.233

Largest 8 diffraction maxima, in order of rising 2θ, 10° ≤ 2θ ≤ 90°:
- 6.232 Å, 2θ = 14.2°, intensity 30
- 3.456 Å, 2θ = 25.8°, intensity 100
- 2.937 Å, 2θ = 30.4°, intensity 45
- 2.492 Å, 2θ = 36.0°, intensity 43
- 2.077 Å, 2θ = 43.6°, intensity 30
- 1.780 Å, 2θ = 51.3°, intensity 32
- 1.696 Å, 2θ = 54.1°, intensity 18
- 1.596 Å, 2θ = 57.8°, intensity 22

# 6
Structure and theoretical powder X-ray diffraction pattern of Ti6GaBi (a DFT-relaxed cell (PBE, Alexandria); CuKα).
Peak positions follow from Bragg's law for the DFT cell and can differ from measured ones.

Structure:
a b c (Å): 4.732 6.230 9.602
angles (deg): 90.00 90.00 90.00
Positions (direct):
Ti: 0.000 0.000 0.000
Ti: 0.000 0.221 0.722
Ti: 0.000 0.279 0.222
Ti: 0.000 0.500 0.500
Ti: 0.000 0.721 0.222
Ti: 0.000 0.779 0.722
Ti: 0.500 0.000 0.255
Ti: 0.500 0.235 0.538
Ti: 0.500 0.265 0.038
Ti: 0.500 0.500 0.755
Ti: 0.500 0.735 0.038
Ti: 0.500 0.765 0.538
Ga: 0.500 0.000 0.801
Ga: 0.500 0.500 0.301
Bi: 0.000 0.000 0.455
Bi: 0.000 0.500 0.955

Largest 8 diffraction maxima, in order of rising 2θ, 10° ≤ 2θ ≤ 90°:
- 5.226 Å, 2θ = 17.0°, intensity 31
- 3.508 Å, 2θ = 25.4°, intensity 40
- 2.847 Å, 2θ = 31.4°, intensity 17
- 2.613 Å, 2θ = 34.3°, intensity 20
- 2.366 Å, 2θ = 38.0°, intensity 36
- 2.288 Å, 2θ = 39.4°, intensity 100
- 2.141 Å, 2θ = 42.2°, intensity 28
- 1.350 Å, 2θ = 69.6°, intensity 20